Record 1
For SrInHg14, a DFT-relaxed cell (PBE, Alexandria) gives the calculated powder X-ray diffraction pattern in this record (CuKα).

Crystal structure
```
data_SrInHg14
_space_group_name_H-M_alt 'I m m a'
_space_group_IT_number 74
_space_group_name_Hall '-I 2b 2'
_cell_length_a 11.4910
_cell_length_b 12.1402
_cell_length_c 13.6583
_cell_angle_alpha 90.00
_cell_angle_beta 90.00
_cell_angle_gamma 90.00
loop_
_atom_site_label
_atom_site_fract_x
_atom_site_fract_y
_atom_site_fract_z
Sr1 0.0000 0.2500 0.0713
In1 0.0000 0.0000 0.5000
Hg1 0.1248 0.2500 0.7275
Hg2 0.1303 0.2500 0.2873
Hg3 0.1340 0.0035 0.3061
Hg4 0.1448 0.0865 0.9159
Hg5 0.1499 0.2500 0.5044
```

Most intense lines, 10° ≤ 2θ ≤ 80°, low angle first:
index	2θ (°)	Rel. int.
3 2 1	28.32	35
0 4 0	29.43	42
0 3 3	29.53	24
4 0 0	31.15	100
1 0 5	33.72	65
3 2 3	33.97	22
3 4 1	38.41	30
0 4 4	39.74	27
3 0 5	40.56	46
4 4 2	45.42	56

Record 2
For Sr5InHg2, a DFT-relaxed cell (PBE, Alexandria) gives the calculated powder X-ray diffraction pattern in this record (CuKα).

Crystal structure
```
data_Sr5InHg2
_space_group_name_H-M_alt 'I 4/m c m'
_space_group_IT_number 140
_space_group_name_Hall '-I 4 2c'
_cell_length_a 8.7608
_cell_length_b 8.7608
_cell_length_c 15.9829
_cell_angle_alpha 90.00
_cell_angle_beta 90.00
_cell_angle_gamma 90.00
loop_
_atom_site_label
_atom_site_fract_x
_atom_site_fract_y
_atom_site_fract_z
Sr1 0.0000 0.0000 0.0000
Sr2 0.1689 0.3311 0.1460
In1 0.0000 0.0000 0.2500
Hg1 0.1272 0.3728 0.5000
```

Most intense lines, 10° ≤ 2θ ≤ 80°, low angle first:
index	2θ (°)	Rel. int.
0 0 2	11.07	28
1 1 2	18.12	20
2 1 3	28.27	100
2 0 4	30.28	19
3 1 0	32.31	43
2 1 5	36.27	19
3 2 1	37.44	13
3 1 4	39.59	12
3 1 8	56.82	14
5 2 3	59.41	15

Record 3
For Sr2In15Hg2, a DFT-relaxed cell (PBE, Alexandria) gives the calculated powder X-ray diffraction pattern in this record (CuKα).

Crystal structure
```
data_Sr2In15Hg2
_space_group_name_H-M_alt 'R -3 m'
_space_group_IT_number 166
_space_group_name_Hall '-R 3 2"'
_cell_length_a 9.7448
_cell_length_b 9.7448
_cell_length_c 19.7005
_cell_angle_alpha 90.00
_cell_angle_beta 90.00
_cell_angle_gamma 120.00
loop_
_atom_site_label
_atom_site_fract_x
_atom_site_fract_y
_atom_site_fract_z
Sr1 0.0000 0.0000 0.2184
In1 0.0000 0.2969 0.5000
In2 0.0000 0.5000 0.0000
In3 0.0830 0.5415 0.6121
Hg1 0.0000 0.0000 0.3993
```

Most intense lines, 10° ≤ 2θ ≤ 80°, low angle first:
index	2θ (°)	Rel. int.
2 1 1	28.34	19
1 2 2	29.43	38
2 0 5	31.05	100
3 0 0	31.81	20
1 1 6	32.89	44
0 3 3	34.69	59
2 2 0	36.90	20
1 3 1	38.74	21
2 2 3	39.45	28
4 1 6	57.37	16

Record 4
For Sr2In4Hg9, a DFT-relaxed cell (PBE, Alexandria) gives the calculated powder X-ray diffraction pattern in this record (CuKα).

Crystal structure
```
data_Sr2In4Hg9
_space_group_name_H-M_alt 'P -3 m 1'
_space_group_IT_number 164
_space_group_name_Hall '-P 3 2"'
_cell_length_a 5.1195
_cell_length_b 5.1195
_cell_length_c 18.3747
_cell_angle_alpha 90.00
_cell_angle_beta 90.00
_cell_angle_gamma 120.00
loop_
_atom_site_label
_atom_site_fract_x
_atom_site_fract_y
_atom_site_fract_z
Sr1 0.3333 0.6667 0.2621
In1 0.3333 0.6667 0.6198
In2 0.3333 0.6667 0.8750
Hg1 0.0000 0.0000 0.0000
Hg2 0.0000 0.0000 0.1751
Hg3 0.0000 0.0000 0.3546
Hg4 0.3333 0.6667 0.0660
Hg5 0.3333 0.6667 0.4592
```

Most intense lines, 10° ≤ 2θ ≤ 80°, low angle first:
index	2θ (°)	Rel. int.
1 0 2	22.26	14
0 1 5	31.62	70
1 1 0	35.06	100
1 0 6	35.63	41
2 0 5	47.92	22
0 2 6	50.85	15
1 2 5	60.74	22
3 0 0	62.88	19
2 1 6	63.26	16
2 2 0	74.07	12

Record 5
For Sr3In2Hg2, a DFT-relaxed cell (PBE, Alexandria) gives the calculated powder X-ray diffraction pattern in this record (CuKα).

Crystal structure
```
data_Sr3In2Hg2
_space_group_name_H-M_alt 'C m m m'
_space_group_IT_number 65
_space_group_name_Hall '-C 2 2'
_cell_length_a 4.6514
_cell_length_b 24.1135
_cell_length_c 4.0432
_cell_angle_alpha 90.00
_cell_angle_beta 90.00
_cell_angle_gamma 90.00
loop_
_atom_site_label
_atom_site_fract_x
_atom_site_fract_y
_atom_site_fract_z
Sr1 0.0000 0.0000 0.0000
Sr2 0.0000 0.1597 0.0000
In1 0.0000 0.4215 0.5000
Hg1 0.0000 0.2867 0.5000
```

Most intense lines, 10° ≤ 2θ ≤ 80°, low angle first:
index	2θ (°)	Rel. int.
0 0 1	22.01	32
1 1 1	29.51	83
0 6 1	31.37	80
1 7 0	32.34	100
1 5 1	34.79	25
2 0 0	38.73	47
1 7 1	39.45	31
2 6 1	50.67	31
1 7 2	56.35	41
2 0 2	60.71	25

Record 6
For SrIn6Hg4, a DFT-relaxed cell (PBE, Alexandria) gives the calculated powder X-ray diffraction pattern in this record (CuKα).

Crystal structure
```
data_SrIn6Hg4
_space_group_name_H-M_alt 'P -6 m 2'
_space_group_IT_number 187
_space_group_name_Hall 'P -6 2'
_cell_length_a 8.8998
_cell_length_b 8.8998
_cell_length_c 4.4733
_cell_angle_alpha 90.00
_cell_angle_beta 90.00
_cell_angle_gamma 120.00
loop_
_atom_site_label
_atom_site_fract_x
_atom_site_fract_y
_atom_site_fract_z
Sr1 0.0000 0.0000 0.0000
In1 0.2006 0.4012 0.5000
In2 0.5361 0.0721 0.0000
Hg1 0.3333 0.6667 0.0000
Hg2 0.3666 0.1833 0.5000
```

Most intense lines, 10° ≤ 2θ ≤ 80°, low angle first:
index	2θ (°)	Rel. int.
2 0 0	23.05	39
1 1 1	28.29	40
2 0 1	30.64	100
2 1 1	36.82	83
0 0 2	40.32	29
2 2 0	40.53	68
4 0 0	47.14	15
3 2 0	51.68	13
2 2 2	58.51	32
5 0 1	63.88	27

Record 7
For Sr12InHg6, a DFT-relaxed cell (PBE, Alexandria) gives the calculated powder X-ray diffraction pattern in this record (CuKα).

Crystal structure
```
data_Sr12InHg6
_space_group_name_H-M_alt 'I m -3'
_space_group_IT_number 204
_space_group_name_Hall '-I 2 2 3'
_cell_length_a 11.4095
_cell_length_b 11.4095
_cell_length_c 11.4095
_cell_angle_alpha 90.00
_cell_angle_beta 90.00
_cell_angle_gamma 90.00
loop_
_atom_site_label
_atom_site_fract_x
_atom_site_fract_y
_atom_site_fract_z
Sr1 0.0000 0.1787 0.2902
In1 0.0000 0.0000 0.0000
Hg1 0.0000 0.3658 0.5000
```

Most intense lines, 10° ≤ 2θ ≤ 80°, low angle first:
index	2θ (°)	Rel. int.
1 1 0	10.97	15
2 0 0	15.53	28
3 2 1	29.29	100
3 3 0	33.32	20
4 1 3	40.31	37
6 0 0	47.83	19
5 3 2	49.23	13
5 4 3	57.08	12
7 2 3	64.29	16
8 3 1	71.08	16

Record 8
For Sr2In6Hg21, a DFT-relaxed cell (PBE, Alexandria) gives the calculated powder X-ray diffraction pattern in this record (CuKα).

Crystal structure
```
data_Sr2In6Hg21
_space_group_name_H-M_alt 'F m -3 m'
_space_group_IT_number 225
_space_group_name_Hall '-F 4 2 3'
_cell_length_a 15.0721
_cell_length_b 15.0721
_cell_length_c 15.0721
_cell_angle_alpha 90.00
_cell_angle_beta 90.00
_cell_angle_gamma 90.00
loop_
_atom_site_label
_atom_site_fract_x
_atom_site_fract_y
_atom_site_fract_z
Sr1 0.2500 0.2500 0.2500
In1 0.0000 0.0000 0.2266
Hg1 0.0000 0.0000 0.5000
Hg2 0.0000 0.1757 0.3243
Hg3 0.1238 0.1238 0.1238
```

Most intense lines, 10° ≤ 2θ ≤ 80°, low angle first:
index	2θ (°)	Rel. int.
2 2 0	16.64	10
4 2 2	29.02	10
3 3 3	30.83	100
4 4 0	33.64	36
5 3 1	35.23	34
6 0 0	35.74	25
6 2 2	39.67	13
6 6 0	51.45	20
5 5 5	52.59	15
8 4 4	60.15	24

Record 9
For SrIn5Hg8, a DFT-relaxed cell (PBE, Alexandria) gives the calculated powder X-ray diffraction pattern in this record (CuKα).

Crystal structure
```
data_SrIn5Hg8
_space_group_name_H-M_alt 'C 1 2 1'
_space_group_IT_number 5
_space_group_name_Hall 'C 2y'
_cell_length_a 12.8679
_cell_length_b 9.3766
_cell_length_c 9.1004
_cell_angle_alpha 90.00
_cell_angle_beta 134.91
_cell_angle_gamma 90.00
loop_
_atom_site_label
_atom_site_fract_x
_atom_site_fract_y
_atom_site_fract_z
Sr1 0.0000 0.0000 0.0000
In1 0.0000 0.2492 0.5000
In2 0.1593 0.6337 0.4174
In3 0.2424 0.8647 0.8999
Hg1 0.0729 0.3229 0.2376
Hg2 0.0851 0.9415 0.4368
Hg3 0.1476 0.5562 0.7339
Hg4 0.1647 0.6766 0.0918
```

Most intense lines, 10° ≤ 2θ ≤ 80°, low angle first:
index	2θ (°)	Rel. int.
3 1 -1	23.82	28
1 3 -1	30.23	87
3 1 0	30.97	100
2 0 -3	31.07	35
1 3 1	36.23	35
4 2 -1	36.62	82
5 1 -3	36.86	88
4 4 -2	48.01	32
2 2 -4	48.76	23
5 5 -1	65.27	22

Record 10
For Sr3InHg7, a DFT-relaxed cell (PBE, Alexandria) gives the calculated powder X-ray diffraction pattern in this record (CuKα).

Crystal structure
```
data_Sr3InHg7
_space_group_name_H-M_alt 'C m c m'
_space_group_IT_number 63
_space_group_name_Hall '-C 2c 2'
_cell_length_a 4.4312
_cell_length_b 22.2857
_cell_length_c 13.8652
_cell_angle_alpha 90.00
_cell_angle_beta 90.00
_cell_angle_gamma 90.00
loop_
_atom_site_label
_atom_site_fract_x
_atom_site_fract_y
_atom_site_fract_z
Sr1 0.0000 0.0976 0.0438
Sr2 0.0000 0.2369 0.7500
In1 0.0000 0.0461 0.7500
Hg1 0.0000 0.2894 0.5344
Hg2 0.0000 0.3606 0.1448
Hg3 0.0000 0.3912 0.7500
Hg4 0.0000 0.4941 0.1127
```

Most intense lines, 10° ≤ 2θ ≤ 80°, low angle first:
index	2θ (°)	Rel. int.
1 1 0	20.44	99
1 5 0	28.40	31
1 3 3	30.43	56
1 5 2	31.25	100
1 1 4	33.06	41
0 2 5	33.30	44
0 6 4	35.42	38
1 1 5	38.51	54
2 0 0	40.72	57
1 7 4	43.67	44

Record 11
For SrIn2Hg3, a DFT-relaxed cell (PBE, Alexandria) gives the calculated powder X-ray diffraction pattern in this record (CuKα).

Crystal structure
```
data_SrIn2Hg3
_space_group_name_H-M_alt 'I 4/m m m'
_space_group_IT_number 139
_space_group_name_Hall '-I 4 2'
_cell_length_a 4.6247
_cell_length_b 4.6247
_cell_length_c 32.5433
_cell_angle_alpha 90.00
_cell_angle_beta 90.00
_cell_angle_gamma 90.00
loop_
_atom_site_label
_atom_site_fract_x
_atom_site_fract_y
_atom_site_fract_z
Sr1 0.0000 0.0000 0.1534
In1 0.0000 0.0000 0.3979
In2 0.0000 0.5000 0.2500
Hg1 0.0000 0.0000 0.3096
Hg2 0.0000 0.5000 0.0439
```

Most intense lines, 10° ≤ 2θ ≤ 80°, low angle first:
index	2θ (°)	Rel. int.
0 0 4	10.87	12
1 0 7	27.21	14
1 1 2	27.83	36
1 1 4	29.44	48
1 1 6	31.96	13
2 0 0	39.00	100
2 0 14	56.10	13
2 2 0	56.26	16
3 1 10	70.61	18
1 1 24	75.98	12